Diffraction record for Cs2U4Nb4O23. The X-ray diffraction stick pattern is computed, not measured: it uses DFT lattice parameters and positions (PBE) and CuKα.

Structural model:
```
data_Cs2U4Nb4O23
_cell_length_a 10.8200
_cell_length_b 14.1381
_cell_length_c 7.7560
_cell_angle_alpha 90.00
_cell_angle_beta 90.08
_cell_angle_gamma 90.00
_space_group_name_H-M_alt 'C 1 m 1'
_space_group_IT_number 8
loop_
_space_group_symop_operation_xyz
'x,y,z'
'x,-y,z'
'x+1/2,y+1/2,z'
'x+1/2,-y+1/2,z'
loop_
_atom_site_label
_atom_site_fract_x
_atom_site_fract_y
_atom_site_fract_z
Cs1 0.0000 0.0000 0.0000
Cs2 0.0006 0.0000 0.5001
U1 0.2254 0.2669 0.7632
U2 0.2676 0.2394 0.2394
Nb1 0.4920 0.1338 0.5021
Nb2 0.4946 0.1088 0.0016
O1 0.0417 0.3645 0.7536
O2 0.1001 0.5000 0.0679
O3 0.1310 0.1593 0.7510
O4 0.1440 0.3029 0.0328
O5 0.1465 0.3072 0.4640
O6 0.1722 0.1327 0.2483
O7 0.3213 0.3732 0.7595
O8 0.3484 0.1994 0.9705
O9 0.3496 0.2077 0.5355
O10 0.3648 0.3456 0.2440
O11 0.3891 0.0000 0.9366
O12 0.4490 0.1358 0.2504
O13 0.4675 0.0000 0.5122
```

Principal peaks in the range 10 to 80 degrees two-theta, in order of rising 2θ:
| d [Å] | I_rel | index |
| --- | --- | --- |
| 7.069 | 54 | 0 2 0 |
| 4.321 | 22 | 1 3 0 |
| 4.296 | 100 | 2 2 0 |
| 3.400 | 51 | 0 2 2 |
| 3.152 | 72 | 2 0 2 |
| 2.959 | 24 | 2 4 0 |
| 2.884 | 19 | 1 3 2 |
| 2.353 | 17 | 2 4 2 |
| 2.117 | 26 | 4 2 2 |
| 1.768 | 25 | 0 8 0 |